Structure and calculated powder XRD pattern of AlFe2Si (DFT lattice parameters and positions (GGA-PBE); Cu Kα (λ = 1.5418 Å)).
Kinematic intensities with the Lorentz-polarization factor, no thermal factor.

Most intense lines, 15 to 90 degrees two-theta, by angle:
31.9 deg, d 2.803, rel. 18.6
45.8 deg, d 1.982, rel. 100.0
56.9 deg, d 1.618, rel. 4.1
66.8 deg, d 1.401, rel. 15.0
75.9 deg, d 1.253, rel. 4.4
84.7 deg, d 1.144, rel. 30.2

Structural model:
```
4
Lattice="0.000 2.803 2.803 2.803 0.000 2.803 2.803 2.803 0.000" Properties=species:S:1:pos:R:3 pbc="T T T"
Al 0.000 0.000 0.000
Fe 1.401 1.401 1.401
Fe 4.204 4.204 4.204
Si 2.803 2.803 2.803
```